Record 1
Structure and computed powder X-ray diffraction pattern of SmDy4Ho15 (a DFT-relaxed cell (GGA-PBE, Alexandria); Cu Kα).

Structural model:
```
SmDy4Ho15
1.0
4.995 0.000 0.000
0.000 4.995 0.000
0.000 0.000 24.966
Sm Dy Ho
1 4 15
Direct
0.000 0.000 0.000
0.000 0.000 0.201
0.000 0.000 0.400
0.000 0.000 0.600
0.000 0.000 0.799
0.000 0.500 0.101
0.000 0.500 0.300
0.000 0.500 0.500
0.000 0.500 0.700
0.000 0.500 0.899
0.500 0.000 0.101
0.500 0.000 0.300
0.500 0.000 0.500
0.500 0.000 0.700
0.500 0.000 0.899
0.500 0.500 0.000
0.500 0.500 0.201
0.500 0.500 0.400
0.500 0.500 0.600
0.500 0.500 0.799
```

The 8 most intense peaks (10° ≤ 2θ ≤ 90°), low angle first:
d 2.884, 2θ 31.01, rel. 100
d 2.497, 2θ 35.96, rel. 51
d 1.766, 2θ 51.77, rel. 36
d 1.506, 2θ 61.59, rel. 43
d 1.442, 2θ 64.65, rel. 12
d 1.249, 2θ 76.25, rel. 6
d 1.146, 2θ 84.57, rel. 18
d 1.117, 2θ 87.31, rel. 17

***

Record 2
Structure and computed powder X-ray diffraction pattern of Th4Bi2Te5 (a DFT-relaxed cell (GGA-PBE, Alexandria); Cu Kα).

Structural model:
```
Th4Bi2Te5
1.0
-2.113 5.208 9.023
2.113 -5.208 9.023
2.113 5.208 -9.023
Th Bi Te
4 2 5
Direct
0.105 0.105 0.000
0.283 0.500 0.783
0.717 0.500 0.217
0.895 0.895 0.000
0.309 0.309 0.000
0.691 0.691 0.000
0.035 0.335 0.699
0.364 0.665 0.699
0.500 0.000 0.500
0.636 0.335 0.301
0.965 0.665 0.301
```

The 10 most intense peaks (10° ≤ 2θ ≤ 90°), low angle first:
d 3.916, 2θ 22.71, rel. 40
d 3.410, 2θ 26.13, rel. 75
d 3.229, 2θ 27.63, rel. 100
d 3.007, 2θ 29.71, rel. 49
d 2.744, 2θ 32.63, rel. 70
d 2.604, 2θ 34.44, rel. 51
d 2.572, 2θ 34.89, rel. 36
d 2.306, 2θ 39.06, rel. 41
d 2.113, 2θ 42.80, rel. 33
d 1.640, 2θ 56.07, rel. 37

***

Record 3
Structure and computed powder X-ray diffraction pattern of NaAu2I8 (a DFT-relaxed cell (GGA-PBE, Alexandria); Cu Kα).

Structural model:
```
NaAu2I8
1.0
-4.084 4.084 6.631
4.084 -4.084 6.631
4.084 4.084 -6.631
Na Au I
1 2 8
Direct
0.000 0.000 0.000
0.250 0.750 0.500
0.750 0.250 0.500
0.064 0.555 0.852
0.212 0.064 0.509
0.297 0.445 0.509
0.445 0.936 0.148
0.555 0.703 0.491
0.703 0.212 0.148
0.788 0.297 0.852
0.936 0.788 0.491
```

The 10 most intense peaks (10° ≤ 2θ ≤ 90°), low angle first:
d 5.776, 2θ 15.34, rel. 100
d 4.355, 2θ 20.39, rel. 50
d 3.522, 2θ 25.29, rel. 91
d 3.477, 2θ 25.62, rel. 35
d 2.888, 2θ 30.96, rel. 35
d 2.816, 2θ 31.78, rel. 74
d 2.574, 2θ 34.85, rel. 85
d 2.407, 2θ 37.36, rel. 32
d 2.038, 2θ 44.46, rel. 55
d 1.925, 2θ 47.21, rel. 32

***

Record 4
Structure and computed powder X-ray diffraction pattern of K3Sb4Pt4 (a DFT-relaxed cell (GGA-PBE, Alexandria); Cu Kα).

Structural model:
```
K3Sb4Pt4
1.0
-4.211 4.211 4.211
4.211 -4.211 4.211
4.211 4.211 -4.211
K Sb Pt
3 4 4
Direct
0.000 0.500 0.500
0.500 0.000 0.500
0.500 0.500 0.000
0.000 0.000 0.696
0.000 0.696 0.000
0.304 0.304 0.304
0.696 0.000 0.000
0.000 0.000 0.339
0.000 0.339 0.000
0.339 0.000 0.000
0.661 0.661 0.661
```

The 10 most intense peaks (10° ≤ 2θ ≤ 90°), low angle first:
d 5.955, 2θ 14.88, rel. 69
d 4.211, 2θ 21.10, rel. 33
d 3.438, 2θ 25.91, rel. 31
d 2.978, 2θ 30.01, rel. 22
d 2.663, 2θ 33.65, rel. 100
d 2.251, 2θ 40.06, rel. 21
d 1.985, 2θ 45.71, rel. 79
d 1.796, 2θ 50.85, rel. 24
d 1.444, 2θ 64.52, rel. 25
d 1.146, 2θ 84.55, rel. 26

***

Record 5
Structure and computed powder X-ray diffraction pattern of BaNdS2O8 (a DFT-relaxed cell (GGA-PBE, Alexandria); Cu Kα).

Structural model:
```
BaNdS2O8
1.0
5.277 0.000 0.000
-2.638 4.570 0.000
0.000 0.000 8.466
Ba Nd S O
1 1 2 8
Direct
0.000 0.000 0.000
0.000 0.000 0.500
0.333 0.667 0.774
0.667 0.333 0.226
0.177 0.358 0.718
0.182 0.823 0.718
0.333 0.667 0.950
0.358 0.182 0.282
0.642 0.818 0.718
0.667 0.333 0.050
0.818 0.177 0.282
0.823 0.642 0.282
```

The 10 most intense peaks (10° ≤ 2θ ≤ 90°), low angle first:
d 4.570, 2θ 19.42, rel. 84
d 4.021, 2θ 22.11, rel. 30
d 3.105, 2θ 28.75, rel. 100
d 2.638, 2θ 33.98, rel. 46
d 2.239, 2θ 40.28, rel. 35
d 2.011, 2θ 45.09, rel. 41
d 1.920, 2θ 47.33, rel. 19
d 1.727, 2θ 53.02, rel. 15
d 1.651, 2θ 55.68, rel. 19
d 1.599, 2θ 57.64, rel. 25

***

Record 6
Structure and computed powder X-ray diffraction pattern of LiTiF6 (a DFT-relaxed cell (GGA-PBE, Alexandria); Cu Kα).

Structural model:
```
LiTiF6
1.0
2.487 -4.515 0.000
2.487 4.515 0.000
-1.050 0.000 4.828
Li Ti F
1 1 6
Direct
0.000 0.000 0.000
0.500 0.500 0.500
0.136 0.418 0.274
0.255 0.255 0.744
0.418 0.136 0.274
0.582 0.864 0.726
0.745 0.745 0.256
0.864 0.582 0.726
```

The 10 most intense peaks (10° ≤ 2θ ≤ 90°), low angle first:
d 4.828, 2θ 18.38, rel. 60
d 4.515, 2θ 19.66, rel. 97
d 4.280, 2θ 20.76, rel. 77
d 3.549, 2θ 25.09, rel. 71
d 3.298, 2θ 27.04, rel. 24
d 2.941, 2θ 30.39, rel. 21
d 2.163, 2θ 41.76, rel. 100
d 1.930, 2θ 47.09, rel. 38
d 1.443, 2θ 64.56, rel. 20
d 1.437, 2θ 64.91, rel. 24